For LiLaLu, DFT lattice parameters and positions (PBE) gives the theoretical XRD peak list in this record (copper Kα).
Neutral-atom scattering factors, no anomalous dispersion.

Main lines, in order of rising 2θ (2θ from 15° to 90°):
d_spacing  I/Imax
3.581  66.0
3.063  19.9
2.760  100.0
2.648  48.1
2.003  24.1
1.549  35.1

```
LiLaLu
1.0
3.7446 0.0000 0.0000
0.0000 3.7446 0.0000
0.0000 0.0000 12.2513
Li La Lu
2 2 2
Direct
0.0000 0.0000 0.0000 Li
0.5000 0.5000 0.5000 Li
0.0000 0.0000 0.3337 La
0.5000 0.5000 0.8337 La
0.0000 0.0000 0.6382 Lu
0.5000 0.5000 0.1382 Lu
```



For LiLaMg2, DFT lattice parameters and positions (PBE) gives the theoretical XRD peak list in this record (copper Kα).
Neutral-atom scattering factors, no anomalous dispersion.

Main lines, in order of rising 2θ (2θ from 15° to 90°):
d_spacing  I/Imax
4.974  82.7
3.964  82.1
3.125  41.8
2.739  76.9
2.646  100.0
2.592  54.4

```
LiLaMg2
1.0
3.2175 0.0000 0.0000
0.0000 4.9741 0.0000
-1.5972 0.0000 6.5616
Li La Mg
1 1 2
Direct
0.0000 0.0000 0.0000 Li
0.3640 0.5000 0.7388 La
0.0995 0.5000 0.2228 Mg
0.7123 0.0000 0.4389 Mg
```



For LiLa4Mg2, DFT lattice parameters and positions (PBE) gives the theoretical XRD peak list in this record (copper Kα).
Neutral-atom scattering factors, no anomalous dispersion.

Main lines, in order of rising 2θ (2θ from 15° to 90°):
d_spacing  I/Imax
3.889  100.0
2.771  65.3
2.730  55.7
2.256  23.3
1.750  21.4
1.592  21.6

```
LiLa4Mg2
1.0
2.7706 1.5996 8.8500
-2.7706 1.5996 8.8500
0.0000 -3.1992 8.8500
Li La Mg
1 4 2
Direct
0.0000 0.0000 0.0000 Li
0.1298 0.1298 0.1298 La
0.3834 0.3834 0.3834 La
0.6166 0.6166 0.6166 La
0.8702 0.8702 0.8702 La
0.2562 0.2562 0.2562 Mg
0.7438 0.7438 0.7438 Mg
```